# Na4B7C
Computed powder diffractogram, Cu Kα X-rays. Input: a structure optimized by DFT (PBE).

Most intense lines, 2θ from 10° to 80°, sorted by position:
- 2.734 Å, I 16
- 2.460 Å, I 16
- 2.318 Å, I 52
- 2.186 Å, I 39
- 2.144 Å, I 100
- 1.634 Å, I 10
- 1.520 Å, I 19
- 1.305 Å, I 9
- 1.254 Å, I 14
- 1.248 Å, I 18

Cell and atoms:
a = 8.7452 Å, b = 2.7544 Å, c = 10.9342 Å
α = 90.00°, β = 90.00°, γ = 90.00°
Positions (direct):
Na  0.0000  0.0000  0.0000
Na  0.0000  0.0000  0.5000
Na  0.0002  0.5000  0.2488
Na  0.9998  0.5000  0.7512
Na  0.5000  0.0000  0.0000
Na  0.5000  0.0000  0.5000
Na  0.4998  0.5000  0.2488
Na  0.5002  0.5000  0.7512
B  0.2500  0.0000  0.1554
B  0.2500  0.0000  0.3151
B  0.2500  0.0000  0.6788
B  0.2500  0.0000  0.8351
B  0.2500  0.5000  0.4185
B  0.2500  0.5000  0.5757
B  0.2500  0.5000  0.9376
B  0.7500  0.0000  0.1649
B  0.7500  0.0000  0.3212
B  0.7500  0.0000  0.6849
B  0.7500  0.0000  0.8446
B  0.7500  0.5000  0.0624
B  0.7500  0.5000  0.4243
B  0.7500  0.5000  0.5815
C  0.2500  0.5000  0.0801
C  0.7500  0.5000  0.9199

---

# Na5B9C
Computed powder diffractogram, Cu Kα X-rays. Input: a structure optimized by DFT (PBE).

Most intense lines, 2θ from 10° to 80°, sorted by position:
- 2.631 Å, I 11
- 2.568 Å, I 19
- 2.247 Å, I 51
- 2.207 Å, I 100
- 2.160 Å, I 35
- 1.507 Å, I 18
- 1.471 Å, I 9
- 1.256 Å, I 12
- 1.236 Å, I 17
- 1.231 Å, I 11

Cell and atoms:
a = 9.1509 Å, b = 9.1509 Å, c = 13.6120 Å
α = 112.10°, β = 112.10°, γ = 18.50°
Positions (direct):
Na  0.0000  0.0000  0.0000
Na  0.0003  0.0003  0.4981
Na  0.2002  0.2002  0.9003
Na  0.2007  0.2007  0.3994
Na  0.3992  0.3992  0.3000
Na  0.4001  0.4001  0.8000
Na  0.6000  0.6000  0.2010
Na  0.6001  0.6001  0.7002
Na  0.7986  0.7986  0.5991
Na  0.8009  0.8009  0.1004
B  0.0316  0.0316  0.8129
B  0.0336  0.0336  0.3175
B  0.1664  0.1664  0.5824
B  0.2298  0.2298  0.2092
B  0.2341  0.2341  0.7172
B  0.3659  0.3659  0.9825
B  0.4255  0.4255  0.6005
B  0.4340  0.4340  0.1172
B  0.5662  0.5662  0.3820
B  0.5708  0.5708  0.8914
B  0.6339  0.6339  0.5175
B  0.6384  0.6384  0.0271
B  0.7664  0.7664  0.7823
B  0.7677  0.7677  0.2851
B  0.8333  0.8333  0.9178
B  0.8350  0.8350  0.4200
B  0.9663  0.9663  0.1822
B  0.9663  0.9663  0.6823
C  0.1682  0.1682  0.0865
C  0.3658  0.3658  0.4814

---

# Na10B17C3
Computed powder diffractogram, Cu Kα X-rays. Input: a structure optimized by DFT (PBE).

Most intense lines, 2θ from 10° to 80°, sorted by position:
- 2.669 Å, I 16
- 2.499 Å, I 19
- 2.278 Å, I 28
- 2.269 Å, I 28
- 2.168 Å, I 100
- 2.164 Å, I 57
- 1.506 Å, I 21
- 1.250 Å, I 10
- 1.239 Å, I 10
- 1.235 Å, I 10

Cell and atoms:
a = 11.8650 Å, b = 11.8650 Å, c = 10.2079 Å
α = 105.54°, β = 105.54°, γ = 13.69°
Positions (direct):
Na  0.0000  0.0000  0.0000
Na  0.1004  0.1004  0.7001
Na  0.2013  0.2013  0.3990
Na  0.2998  0.2998  0.0987
Na  0.3977  0.3977  0.7977
Na  0.5001  0.5001  0.4973
Na  0.6012  0.6012  0.2008
Na  0.7004  0.7004  0.8988
Na  0.7999  0.7999  0.5974
Na  0.8992  0.8992  0.3009
B  0.0224  0.0224  0.2940
B  0.0850  0.0850  0.4177
B  0.1229  0.1229  0.9936
B  0.1886  0.1886  0.1257
B  0.2125  0.2125  0.6727
B  0.2773  0.2773  0.8034
B  0.3192  0.3192  0.3886
B  0.3848  0.3848  0.5193
B  0.4187  0.4187  0.0878
B  0.4811  0.4811  0.2130
B  0.5174  0.5174  0.7840
B  0.5804  0.5804  0.9091
B  0.6246  0.6246  0.4968
B  0.7788  0.7788  0.3073
B  0.8154  0.8154  0.8804
B  0.8789  0.8789  0.0072
B  0.9744  0.9744  0.6982
C  0.6830  0.6830  0.6135
C  0.7193  0.7193  0.1881
C  0.9164  0.9164  0.5823

---

# Na10B13C7
Computed powder diffractogram, Cu Kα X-rays. Input: a structure optimized by DFT (PBE).

Most intense lines, 2θ from 10° to 80°, sorted by position:
- 2.533 Å, I 8
- 2.470 Å, I 13
- 2.179 Å, I 36
- 2.138 Å, I 100
- 1.616 Å, I 7
- 1.450 Å, I 12
- 1.414 Å, I 6
- 1.241 Å, I 4
- 1.234 Å, I 9
- 1.200 Å, I 12

Cell and atoms:
a = 8.5442 Å, b = 12.7421 Å, c = 12.7421 Å
α = 12.75°, β = 90.00°, γ = 90.00°
Positions (direct):
Na  0.2446  0.0000  0.0000
Na  0.2467  0.1995  0.1995
Na  0.2470  0.5999  0.5999
Na  0.2492  0.3999  0.3999
Na  0.2497  0.7996  0.7996
Na  0.7503  0.7996  0.7996
Na  0.7508  0.3999  0.3999
Na  0.7533  0.1995  0.1995
Na  0.7530  0.5999  0.5999
Na  0.7554  0.0000  0.0000
B  0.0000  0.0727  0.0727
B  0.0000  0.2662  0.2662
B  0.0000  0.4606  0.4606
B  0.0000  0.5324  0.5324
B  0.0000  0.6693  0.6693
B  0.0000  0.8630  0.8630
B  0.5000  0.1296  0.1296
B  0.5000  0.2649  0.2649
B  0.5000  0.3312  0.3312
B  0.5000  0.5359  0.5359
B  0.5000  0.7226  0.7226
B  0.5000  0.8725  0.8725
B  0.5000  0.9415  0.9415
C  0.0000  0.1370  0.1370
C  0.0000  0.3315  0.3315
C  0.0000  0.7343  0.7343
C  0.0000  0.9289  0.9289
C  0.5000  0.0664  0.0664
C  0.5000  0.4716  0.4716
C  0.5000  0.6613  0.6613

---

# Na4B7C
Computed powder diffractogram, Cu Kα X-rays. Input: a structure optimized by DFT (PBE).

Most intense lines, 2θ from 10° to 80°, sorted by position:
- 2.637 Å, I 12
- 2.547 Å, I 18
- 2.252 Å, I 49
- 2.195 Å, I 100
- 2.164 Å, I 36
- 1.649 Å, I 10
- 1.505 Å, I 18
- 1.255 Å, I 13
- 1.235 Å, I 17
- 1.222 Å, I 10

Cell and atoms:
a = 5.2747 Å, b = 8.6572 Å, c = 5.8171 Å
α = 90.00°, β = 90.00°, γ = 90.00°
Positions (direct):
Na  0.2476  0.0010  0.1249
Na  0.2476  0.4990  0.1249
Na  0.2491  0.5024  0.6246
Na  0.2491  0.9976  0.6246
Na  0.7509  0.0024  0.3754
Na  0.7509  0.4976  0.3754
Na  0.7524  0.5010  0.8751
Na  0.7524  0.9990  0.8751
B  0.0738  0.7500  0.3615
B  0.0736  0.7500  0.8873
B  0.0828  0.2500  0.3755
B  0.3844  0.2500  0.8751
B  0.4033  0.7500  0.3689
B  0.4031  0.7500  0.8796
B  0.4041  0.2500  0.3754
B  0.5959  0.7500  0.6246
B  0.5969  0.2500  0.1204
B  0.5967  0.2500  0.6311
B  0.6156  0.7500  0.1249
B  0.9172  0.7500  0.6245
B  0.9264  0.2500  0.1127
B  0.9262  0.2500  0.6385
C  0.0844  0.2500  0.8761
C  0.9156  0.7500  0.1239

---

# Na5B8C2
Computed powder diffractogram, Cu Kα X-rays. Input: a structure optimized by DFT (PBE).

Most intense lines, 2θ from 10° to 80°, sorted by position:
- 2.565 Å, I 10
- 2.533 Å, I 19
- 2.207 Å, I 50
- 2.186 Å, I 100
- 2.165 Å, I 37
- 1.646 Å, I 10
- 1.475 Å, I 17
- 1.254 Å, I 13
- 1.219 Å, I 17
- 1.216 Å, I 11

Cell and atoms:
a = 7.7206 Å, b = 7.7206 Å, c = 9.1331 Å
α = 107.47°, β = 107.47°, γ = 38.81°
Positions (direct):
Na  0.0501  0.0501  0.2490
Na  0.1519  0.1484  0.7489
Na  0.2535  0.2478  0.2521
Na  0.3525  0.3480  0.7497
Na  0.4527  0.4460  0.2461
Na  0.5540  0.5473  0.7539
Na  0.6520  0.6474  0.2503
Na  0.7522  0.7465  0.7479
Na  0.8516  0.8481  0.2511
Na  0.9499  0.9499  0.7510
B  0.0237  0.3660  0.5008
B  0.0745  0.7082  0.0000
B  0.1568  0.8432  0.5000
B  0.2701  0.5368  0.4988
B  0.2918  0.9255  0.0000
B  0.3236  0.6764  0.0000
B  0.3597  0.0360  0.5004
B  0.4559  0.1320  0.0003
B  0.4632  0.7299  0.5012
B  0.6340  0.9763  0.4992
B  0.6736  0.3264  0.0000
B  0.7340  0.0636  0.0004
B  0.8251  0.1749  0.5000
B  0.8680  0.5441  0.9997
B  0.9364  0.2660  0.9996
B  0.9640  0.6403  0.4996
C  0.1401  0.4556  0.0000
C  0.5444  0.8599  0.0000
C  0.5715  0.2333  0.4986
C  0.7667  0.4285  0.5014

---

# Na10B13C7
Computed powder diffractogram, Cu Kα X-rays. Input: a structure optimized by DFT (PBE).

Most intense lines, 2θ from 10° to 80°, sorted by position:
- 2.531 Å, I 10
- 2.476 Å, I 18
- 2.175 Å, I 51
- 2.140 Å, I 100
- 2.127 Å, I 38
- 1.614 Å, I 10
- 1.451 Å, I 17
- 1.419 Å, I 9
- 1.237 Å, I 6
- 1.231 Å, I 13

Cell and atoms:
a = 8.5094 Å, b = 12.7356 Å, c = 12.7356 Å
α = 12.80°, β = 90.00°, γ = 90.00°
Positions (direct):
Na  0.2470  0.0000  0.0000
Na  0.2487  0.2006  0.2006
Na  0.2497  0.8000  0.8000
Na  0.2507  0.6008  0.6008
Na  0.2522  0.3997  0.3997
Na  0.7478  0.3997  0.3997
Na  0.7493  0.6008  0.6008
Na  0.7503  0.8000  0.8000
Na  0.7513  0.2006  0.2006
Na  0.7530  0.0000  0.0000
B  0.0000  0.0734  0.0734
B  0.0000  0.2668  0.2668
B  0.0000  0.4609  0.4609
B  0.0000  0.5330  0.5330
B  0.0000  0.6697  0.6697
B  0.0000  0.8636  0.8636
B  0.5000  0.0691  0.0691
B  0.5000  0.1388  0.1388
B  0.5000  0.3272  0.3272
B  0.5000  0.5303  0.5303
B  0.5000  0.7334  0.7334
B  0.5000  0.8668  0.8668
B  0.5000  0.9359  0.9359
C  0.0000  0.1375  0.1375
C  0.0000  0.3319  0.3319
C  0.0000  0.7348  0.7348
C  0.0000  0.9293  0.9293
C  0.5000  0.2644  0.2644
C  0.5000  0.4669  0.4669
C  0.5000  0.6694  0.6694

---

# Na8B15C
Computed powder diffractogram, Cu Kα X-rays. Input: a structure optimized by DFT (PBE).

Most intense lines, 2θ from 10° to 80°, sorted by position:
- 2.663 Å, I 12
- 2.569 Å, I 18
- 2.268 Å, I 49
- 2.210 Å, I 100
- 2.166 Å, I 35
- 1.656 Å, I 10
- 1.519 Å, I 18
- 1.259 Å, I 13
- 1.243 Å, I 17
- 1.231 Å, I 10

Cell and atoms:
a = 2.9328 Å, b = 8.6650 Å, c = 10.6500 Å
α = 90.00°, β = 90.00°, γ = 90.00°
Positions (direct):
Na  0.0000  0.2461  0.0000
Na  0.0000  0.2512  0.5005
Na  0.0000  0.7488  0.5005
Na  0.0000  0.7539  0.0000
Na  0.5000  0.2491  0.7510
Na  0.5000  0.2504  0.2501
Na  0.5000  0.7496  0.2501
Na  0.5000  0.7509  0.7510
B  0.0000  0.0000  0.1724
B  0.0000  0.0000  0.3380
B  0.0000  0.0000  0.6672
B  0.0000  0.0000  0.8267
B  0.0000  0.5000  0.1645
B  0.0000  0.5000  0.3253
B  0.0000  0.5000  0.6796
B  0.0000  0.5000  0.8440
B  0.5000  0.0000  0.0835
B  0.5000  0.0000  0.4132
B  0.5000  0.0000  0.5783
B  0.5000  0.0000  0.9244
B  0.5000  0.5000  0.0654
B  0.5000  0.5000  0.4211
B  0.5000  0.5000  0.5829
C  0.5000  0.5000  0.9180

---

# Na4B7C
Computed powder diffractogram, Cu Kα X-rays. Input: a structure optimized by DFT (PBE).

Most intense lines, 2θ from 10° to 80°, sorted by position:
- 2.580 Å, I 22
- 2.217 Å, I 100
- 2.205 Å, I 54
- 2.166 Å, I 37
- 1.659 Å, I 12
- 1.483 Å, I 18
- 1.260 Å, I 12
- 1.237 Å, I 12
- 1.229 Å, I 14
- 1.224 Å, I 17

Cell and atoms:
a = 5.1239 Å, b = 5.9735 Å, c = 9.1584 Å
α = 80.59°, β = 73.76°, γ = 89.95°
Positions (direct):
Na  0.0000  0.0000  0.0000
Na  0.0000  0.5000  0.0000
Na  0.2488  0.1248  0.4992
Na  0.2512  0.6254  0.4990
Na  0.4987  0.2504  0.9997
Na  0.5013  0.7496  0.0003
Na  0.7488  0.3746  0.5010
Na  0.7512  0.8752  0.5008
B  0.0237  0.6874  0.2502
B  0.0484  0.1878  0.2489
B  0.2062  0.4395  0.2497
B  0.2063  0.9354  0.2488
B  0.3058  0.8127  0.7494
B  0.4412  0.0758  0.7497
B  0.4410  0.5497  0.7494
B  0.5590  0.4503  0.2506
B  0.5588  0.9242  0.2503
B  0.6942  0.1873  0.2506
B  0.7937  0.0646  0.7512
B  0.7938  0.5605  0.7503
B  0.9516  0.8122  0.7511
B  0.9763  0.3126  0.7498
C  0.2958  0.3130  0.7491
C  0.7042  0.6870  0.2509